Entry 1:
This entry pairs a crystal structure of LiO with its computed powder X-ray diffraction pattern. Radiation: Cu Kα (weighted mean of Kα1 and Kα2). Structure: a GGA-PBE-relaxed structure.

Cell and atoms:
```
LiO
1.0
3.336 0.000 0.000
-1.668 2.889 0.000
0.000 0.000 7.900
Li O
4 4
direct
0.333 0.667 0.102 Li
0.333 0.667 0.398 Li
0.667 0.333 0.602 Li
0.667 0.333 0.898 Li
0.333 0.667 0.654 O
0.333 0.667 0.846 O
0.667 0.333 0.154 O
0.667 0.333 0.346 O
```

Top 10 peaks for 5° ≤ 2θ ≤ 70°, sorted by position:
2theta  I (rel.)
22.51  12
30.95  84
33.01  100
38.61  3
45.95  18
55.05  47
56.43  13
64.50  6
65.71  6
67.57  15



Entry 2:
This entry pairs a crystal structure of BaReH9 with its computed powder X-ray diffraction pattern. Radiation: Cu Kα (weighted mean of Kα1 and Kα2). Structure: a GGA-PBE-relaxed structure.

Cell and atoms:
```
BaReH9
1.0
3.547 2.048 2.499
-3.547 2.048 2.499
0.000 -4.096 2.499
Ba Re H
1 1 9
direct
0.000 0.000 0.000 Ba
0.500 0.500 0.500 Re
0.178 0.517 0.324 H
0.263 0.500 0.737 H
0.324 0.178 0.517 H
0.483 0.822 0.676 H
0.500 0.737 0.263 H
0.517 0.324 0.178 H
0.676 0.483 0.822 H
0.737 0.263 0.500 H
0.822 0.676 0.483 H
```

Top 10 peaks for 5° ≤ 2θ ≤ 70°, sorted by position:
2theta  I (rel.)
25.11  100
27.88  77
37.87  34
44.23  22
45.98  40
50.94  15
51.53  14
57.61  10
59.60  18
63.82  15



Entry 3:
This entry pairs a crystal structure of BaEuDySnO6 with its computed powder X-ray diffraction pattern. Radiation: Cu Kα (weighted mean of Kα1 and Kα2). Structure: a GGA-PBE-relaxed structure.

Cell and atoms:
```
BaEuDySnO6
1.0
0.000 4.259 4.259
4.259 0.000 4.259
4.259 4.259 0.000
Ba Eu Dy Sn O
1 1 1 1 6
direct
0.000 0.000 0.000 Ba
0.500 0.500 0.500 Eu
0.250 0.250 0.250 Dy
0.750 0.750 0.750 Sn
0.508 0.508 0.992 O
0.508 0.992 0.508 O
0.508 0.992 0.992 O
0.992 0.508 0.508 O
0.992 0.508 0.992 O
0.992 0.992 0.508 O
```

Top 9 peaks for 5° ≤ 2θ ≤ 70°, sorted by position:
2theta  I (rel.)
18.04  1
29.66  100
34.93  1
36.54  1
42.45  29
46.47  1
52.64  41
61.59  19
69.83  18



Entry 4:
This entry pairs a crystal structure of Rb2Na2MgTi2O6 with its computed powder X-ray diffraction pattern. Radiation: Cu Kα (weighted mean of Kα1 and Kα2). Structure: a GGA-PBE-relaxed structure.

Cell and atoms:
```
Rb2Na2MgTi2O6
1.0
5.823 0.000 0.000
0.493 6.194 0.000
0.670 2.962 6.091
Rb Na Mg Ti O
2 2 1 2 6
direct
0.216 0.001 0.133 Rb
0.784 0.999 0.867 Rb
0.224 0.635 0.864 Na
0.776 0.365 0.136 Na
0.500 0.000 0.500 Mg
0.240 0.412 0.529 Ti
0.760 0.588 0.471 Ti
0.038 0.538 0.286 O
0.239 0.071 0.678 O
0.405 0.672 0.533 O
0.595 0.328 0.467 O
0.761 0.929 0.322 O
0.962 0.462 0.714 O
```

Top 10 peaks for 5° ≤ 2θ ≤ 70°, sorted by position:
2theta  I (rel.)
16.20  72
25.97  25
29.32  43
30.49  32
30.89  42
32.17  100
33.91  21
43.29  30
44.61  21
46.08  24



Entry 5:
This entry pairs a crystal structure of Y6CrSi2S14 with its computed powder X-ray diffraction pattern. Radiation: Cu Kα (weighted mean of Kα1 and Kα2). Structure: a GGA-PBE-relaxed structure.

Cell and atoms:
```
Y6CrSi2S14
1.0
9.917 0.000 0.000
-4.958 8.588 0.000
0.000 0.000 5.614
Y Cr Si S
6 1 2 14
direct
0.023 0.566 0.000 Y
0.311 0.100 0.502 Y
0.434 0.457 0.000 Y
0.543 0.977 0.000 Y
0.789 0.689 0.502 Y
0.900 0.211 0.502 Y
0.667 0.333 0.764 Cr
0.000 0.000 0.913 Si
0.333 0.667 0.416 Si
0.000 0.000 0.288 S
0.079 0.854 0.763 S
0.146 0.225 0.763 S
0.185 0.441 0.266 S
0.256 0.815 0.266 S
0.333 0.667 0.790 S
0.421 0.171 0.003 S
0.507 0.419 0.526 S
0.559 0.744 0.266 S
0.581 0.088 0.526 S
0.750 0.579 0.003 S
0.775 0.921 0.763 S
0.829 0.250 0.003 S
0.912 0.493 0.526 S
```

Top 10 peaks for 5° ≤ 2θ ≤ 70°, sorted by position:
2theta  I (rel.)
23.95  50
26.13  100
31.86  54
35.19  41
36.23  49
36.80  39
37.77  76
38.31  63
41.17  69
42.58  45



Entry 6:
This entry pairs a crystal structure of CuF with its computed powder X-ray diffraction pattern. Radiation: Cu Kα (weighted mean of Kα1 and Kα2). Structure: a GGA-PBE-relaxed structure.

Cell and atoms:
```
CuF
1.0
0.000 2.423 2.423
2.423 0.000 2.423
2.423 2.423 0.000
Cu F
1 1
direct
0.000 0.000 0.000 Cu
0.250 0.250 0.250 F
```

Top 5 peaks for 5° ≤ 2θ ≤ 70°, sorted by position:
2theta  I (rel.)
31.98  100
37.10  24
53.47  47
63.68  36
66.87  6



Entry 7:
This entry pairs a crystal structure of Ta3SiNi2 with its computed powder X-ray diffraction pattern. Radiation: Cu Kα (weighted mean of Kα1 and Kα2). Structure: a GGA-PBE-relaxed structure.

Cell and atoms:
```
Ta3SiNi2
1.0
0.000 5.595 5.595
5.595 0.000 5.595
5.595 5.595 0.000
Ta Si Ni
12 4 8
direct
0.077 0.077 0.673 Ta
0.077 0.673 0.077 Ta
0.077 0.673 0.673 Ta
0.327 0.327 0.923 Ta
0.327 0.923 0.327 Ta
0.327 0.923 0.923 Ta
0.673 0.077 0.077 Ta
0.673 0.077 0.673 Ta
0.673 0.673 0.077 Ta
0.923 0.327 0.327 Ta
0.923 0.327 0.923 Ta
0.923 0.923 0.327 Ta
0.000 0.500 0.500 Si
0.500 0.000 0.500 Si
0.500 0.500 0.000 Si
0.500 0.500 0.500 Si
0.292 0.292 0.292 Ni
0.292 0.292 0.623 Ni
0.292 0.623 0.292 Ni
0.377 0.708 0.708 Ni
0.623 0.292 0.292 Ni
0.708 0.377 0.708 Ni
0.708 0.708 0.377 Ni
0.708 0.708 0.708 Ni
```

Top 10 peaks for 5° ≤ 2θ ≤ 70°, sorted by position:
2theta  I (rel.)
13.71  8
22.47  13
31.99  43
34.95  21
39.45  56
41.95  100
45.88  40
58.95  16
63.90  19
68.66  14